Ba2LaNbO6: simulated X-ray powder pattern (Cu Kα (λ = 1.5418 Å)), based on a cell relaxed with GGA-PBE.
Kinematic intensities with the Lorentz-polarization factor, no thermal factor.

Peak list (10 most intense, 2θ from 10° to 90°, by intensity)
two_theta	I (rel.)
28.7	100.0
50.9	40.5
41.1	30.3
82.1	21.4
59.5	19.0
67.4	18.4
74.9	6.2
89.2	3.0
35.4	2.9
33.8	1.2

Structural model:
Cell lengths 6.2105, 6.2105, 6.2105 Å; angles 60.00, 60.00, 60.00 degrees
Element x y z (fractional)
Ba 0.2500 0.2500 0.2500
Ba 0.7500 0.7500 0.7500
La 0.0000 0.0000 0.0000
Nb 0.5000 0.5000 0.5000
O 0.2694 0.2694 0.7306
O 0.2694 0.7306 0.2694
O 0.2694 0.7306 0.7306
O 0.7306 0.2694 0.2694
O 0.7306 0.2694 0.7306
O 0.7306 0.7306 0.2694